# 1
Diffraction record for Tb2PrHo7. The X-ray powder pattern is theoretical, not measured: it uses a crystal structure in Alexandria, relaxed with PBE and Cu Kα, 1.54184 Å.

Lattice parameters (Å, degrees): 9.441 9.441 5.430 106.69 106.69 123.94
Element x y z (fractional)
Tb: 0.199 0.801 0.000
Tb: 0.801 0.199 0.000
Pr: 0.500 0.500 0.500
Ho: 0.000 0.000 0.000
Ho: 0.139 0.358 0.748
Ho: 0.299 0.701 0.500
Ho: 0.358 0.139 0.748
Ho: 0.642 0.861 0.252
Ho: 0.701 0.299 0.500
Ho: 0.861 0.642 0.252

Peak list (10 most intense, 2θ from 10° to 80°, sorted by position)
- 2.904 Å, 30.79°, I 87.3
- 2.841 Å, 31.49°, I 100.0
- 2.715 Å, 32.99°, I 45.9
- 2.685 Å, 33.37°, I 42.6
- 2.605 Å, 34.43°, I 17.6
- 2.179 Å, 41.44°, I 15.9
- 1.909 Å, 47.63°, I 31.7
- 1.591 Å, 57.98°, I 17.8
- 1.568 Å, 58.89°, I 18.2
- 1.494 Å, 62.15°, I 28.8

# 2
Diffraction record for Tb6PrHo3. The X-ray powder pattern is theoretical, not measured: it uses a crystal structure in Alexandria, relaxed with PBE and Cu Kα, 1.54184 Å.

Lattice parameters (Å, degrees): 6.897 6.897 6.897 90.88 90.88 90.88
Element x y z (fractional)
Tb: 0.000 0.332 0.668
Tb: 0.171 0.829 0.500
Tb: 0.332 0.668 0.000
Tb: 0.500 0.171 0.829
Tb: 0.668 0.000 0.332
Tb: 0.829 0.500 0.171
Pr: 0.000 0.000 0.000
Ho: 0.254 0.254 0.254
Ho: 0.500 0.500 0.500
Ho: 0.746 0.746 0.746

Peak list (10 most intense, 2θ from 10° to 80°, sorted by position)
- 3.065 Å, 29.14°, I 66.3
- 2.837 Å, 31.53°, I 100.0
- 2.779 Å, 32.21°, I 15.6
- 2.170 Å, 41.61°, I 14.7
- 2.082 Å, 43.47°, I 22.4
- 1.841 Å, 49.52°, I 9.8
- 1.679 Å, 54.68°, I 22.8
- 1.638 Å, 56.15°, I 19.6
- 1.613 Å, 57.11°, I 12.9
- 1.419 Å, 65.83°, I 12.1

# 3
Diffraction record for Tb2Pr3Ho2. The X-ray powder pattern is theoretical, not measured: it uses a crystal structure in Alexandria, relaxed with PBE and Cu Kα, 1.54184 Å.

Lattice parameters (Å, degrees): 3.572 8.644 8.841 62.08 89.97 78.08
Element x y z (fractional)
Tb: 0.071 0.360 0.431
Tb: 0.929 0.640 0.569
Pr: 0.000 0.500 0.000
Pr: 0.294 0.912 0.712
Pr: 0.706 0.088 0.288
Ho: 0.362 0.777 0.167
Ho: 0.638 0.223 0.833

Peak list (10 most intense, 2θ from 10° to 80°, sorted by position)
- 3.003 Å, 29.75°, I 75.2
- 2.915 Å, 30.67°, I 100.0
- 2.897 Å, 30.87°, I 89.5
- 2.860 Å, 31.28°, I 92.7
- 2.774 Å, 32.28°, I 89.0
- 2.745 Å, 32.62°, I 84.4
- 1.905 Å, 47.74°, I 35.3
- 1.523 Å, 60.83°, I 28.5
- 1.515 Å, 61.18°, I 27.4
- 1.502 Å, 61.78°, I 27.7

# 4
Diffraction record for TbPr2Ho2. The X-ray powder pattern is theoretical, not measured: it uses a crystal structure in Alexandria, relaxed with PBE and Cu Kα, 1.54184 Å.

Lattice parameters (Å, degrees): 3.619 3.619 14.771 97.16 97.16 60.07
Element x y z (fractional)
Tb: 0.000 0.000 0.000
Pr: 0.133 0.133 0.393
Pr: 0.867 0.867 0.607
Ho: 0.399 0.399 0.194
Ho: 0.601 0.601 0.806

Peak list (10 most intense, 2θ from 10° to 80°, sorted by position)
- 3.104 Å, 28.76°, I 23.4
- 3.015 Å, 29.63°, I 65.6
- 2.953 Å, 30.27°, I 41.2
- 2.923 Å, 30.58°, I 72.9
- 2.804 Å, 31.92°, I 77.8
- 2.722 Å, 32.91°, I 100.0
- 2.551 Å, 35.18°, I 37.2
- 2.465 Å, 36.46°, I 27.8
- 1.810 Å, 50.41°, I 56.4
- 1.540 Å, 60.08°, I 42.7

# 5
Diffraction record for Tb4Pr3Ho3. The X-ray powder pattern is theoretical, not measured: it uses a crystal structure in Alexandria, relaxed with PBE and Cu Kα, 1.54184 Å.

Lattice parameters (Å, degrees): 3.719 9.486 9.486 89.58 90.00 90.00
Element x y z (fractional)
Tb: 0.000 0.000 0.000
Tb: 0.000 0.254 0.254
Tb: 0.000 0.506 0.757
Tb: 0.000 0.757 0.506
Pr: 0.500 0.301 0.954
Pr: 0.500 0.456 0.456
Pr: 0.500 0.954 0.301
Ho: 0.000 0.122 0.631
Ho: 0.000 0.631 0.122
Ho: 0.500 0.802 0.802

Peak list (10 most intense, 2θ from 10° to 80°, sorted by position)
- 3.006 Å, 29.72°, I 32.6
- 2.993 Å, 29.85°, I 32.8
- 2.927 Å, 30.55°, I 31.3
- 2.797 Å, 32.00°, I 100.0
- 1.860 Å, 48.98°, I 13.5
- 1.666 Å, 55.14°, I 9.2
- 1.662 Å, 55.28°, I 8.9
- 1.595 Å, 57.80°, I 8.0
- 1.589 Å, 58.06°, I 8.1
- 1.581 Å, 58.39°, I 24.6

# 6
Diffraction record for Tb2Pr3Ho. The X-ray powder pattern is theoretical, not measured: it uses a crystal structure in Alexandria, relaxed with PBE and Cu Kα, 1.54184 Å.

Lattice parameters (Å, degrees): 6.238 6.304 6.307 60.06 70.34 80.28
Element x y z (fractional)
Tb: 0.000 0.167 0.167
Tb: 0.000 0.833 0.833
Pr: 0.500 0.167 0.667
Pr: 0.500 0.500 0.000
Pr: 0.500 0.833 0.333
Ho: 0.000 0.500 0.500

Peak list (10 most intense, 2θ from 10° to 80°, sorted by position)
- 2.969 Å, 30.10°, I 100.0
- 2.937 Å, 30.44°, I 32.4
- 2.564 Å, 34.99°, I 67.1
- 1.821 Å, 50.10°, I 24.3
- 1.806 Å, 50.54°, I 23.7
- 1.552 Å, 59.56°, I 14.5
- 1.547 Å, 59.76°, I 28.6
- 1.538 Å, 60.15°, I 14.0
- 1.485 Å, 62.57°, I 12.5
- 1.282 Å, 73.96°, I 5.1

Repeat the third record exactly.
Diffraction record for Tb2Pr3Ho2. The X-ray powder pattern is theoretical, not measured: it uses a crystal structure in Alexandria, relaxed with PBE and Cu Kα, 1.54184 Å.

Lattice parameters (Å, degrees): 3.572 8.644 8.841 62.08 89.97 78.08
Element x y z (fractional)
Tb: 0.071 0.360 0.431
Tb: 0.929 0.640 0.569
Pr: 0.000 0.500 0.000
Pr: 0.294 0.912 0.712
Pr: 0.706 0.088 0.288
Ho: 0.362 0.777 0.167
Ho: 0.638 0.223 0.833

Peak list (10 most intense, 2θ from 10° to 80°, sorted by position)
- 3.003 Å, 29.75°, I 75.2
- 2.915 Å, 30.67°, I 100.0
- 2.897 Å, 30.87°, I 89.5
- 2.860 Å, 31.28°, I 92.7
- 2.774 Å, 32.28°, I 89.0
- 2.745 Å, 32.62°, I 84.4
- 1.905 Å, 47.74°, I 35.3
- 1.523 Å, 60.83°, I 28.5
- 1.515 Å, 61.18°, I 27.4
- 1.502 Å, 61.78°, I 27.7